[1]
# PmSmPb2O8
Simulated X-ray powder pattern, Cu Kα. Input: a structure optimized by DFT (GGA-PBE).
Lines closer than 0.1° are merged.

Atomic structure:
```
data_PmSmPb2O8
_cell_length_a 5.6742
_cell_length_b 5.6742
_cell_length_c 10.8131
_cell_angle_alpha 90.00
_cell_angle_beta 90.00
_cell_angle_gamma 90.00
_space_group_name_H-M_alt 'I -4'
_space_group_IT_number 82
_space_group_name_Hall 'I -4'
loop_
_atom_site_label
_atom_site_type_symbol
_atom_site_fract_x
_atom_site_fract_y
_atom_site_fract_z
_atom_site_occupancy
Pm1 Pm 0.0000 0.0000 0.0000 1
Sm1 Sm 0.0000 0.5000 0.2500 1
Pb1 Pb 0.0000 0.0000 0.5000 1
Pb2 Pb 0.0000 0.5000 0.7500 1
O1 O 0.2031 0.2549 0.4022 1
O2 O 0.2049 0.7543 0.8471 1
```

Largest 12 diffraction maxima, by angle, 10 to 80 degrees two-theta:
hkl 1 1 2, 2θ = 27.7°, rel. 100
hkl 2 0 0, 2θ = 31.5°, rel. 24
hkl 0 0 4, 2θ = 33.1°, rel. 11
hkl 2 2 0, 2θ = 45.2°, rel. 18
hkl 2 0 4, 2θ = 46.4°, rel. 31
hkl 1 3 2, 2θ = 53.8°, rel. 33
hkl 1 1 6, 2θ = 55.9°, rel. 15
hkl 2 2 4, 2θ = 57.2°, rel. 11
hkl 4 0 0, 2θ = 65.8°, rel. 5
hkl 3 3 2, 2θ = 72.9°, rel. 7
hkl 3 1 6, 2θ = 74.6°, rel. 13
hkl 2 0 8, 2θ = 78.4°, rel. 5



[2]
# TbPm2Pb2O2
Simulated X-ray powder pattern, Cu Kα. Input: a structure optimized by DFT (GGA-PBE).
Lines closer than 0.1° are merged.

Atomic structure:
```
data_TbPm2Pb2O2
_cell_length_a 4.4434
_cell_length_b 4.4434
_cell_length_c 16.3211
_cell_angle_alpha 90.00
_cell_angle_beta 90.00
_cell_angle_gamma 90.00
_space_group_name_H-M_alt 'I 4/m m m'
_space_group_IT_number 139
_space_group_name_Hall '-I 4 2'
loop_
_atom_site_label
_atom_site_type_symbol
_atom_site_fract_x
_atom_site_fract_y
_atom_site_fract_z
_atom_site_occupancy
Tb1 Tb 0.0000 0.0000 0.0000 1
Pm1 Pm 0.0000 0.0000 0.3962 1
Pb1 Pb 0.0000 0.0000 0.2041 1
O1 O 0.0000 0.5000 0.0000 1
```

Largest 12 diffraction maxima, by angle, 10 to 80 degrees two-theta:
hkl 1 1 0, 2θ = 28.4°, rel. 75
hkl 1 1 2, 2θ = 30.5°, rel. 4
hkl 1 0 5, 2θ = 34.1°, rel. 100
hkl 2 0 0, 2θ = 40.6°, rel. 34
hkl 1 0 7, 2θ = 43.9°, rel. 2
hkl 2 1 5, 2θ = 54.0°, rel. 55
hkl 0 0 10, 2θ = 56.4°, rel. 6
hkl 2 2 0, 2θ = 58.8°, rel. 11
hkl 1 1 10, 2θ = 64.3°, rel. 15
hkl 3 1 0, 2θ = 66.5°, rel. 14
hkl 3 0 5, 2θ = 69.7°, rel. 13
hkl 2 0 10, 2θ = 71.8°, rel. 12



[3]
# Tb2Pm4Pb3O2
Simulated X-ray powder pattern, Cu Kα. Input: a structure optimized by DFT (GGA-PBE).
Lines closer than 0.1° are merged.

Atomic structure:
```
data_Tb2Pm4Pb3O2
_cell_length_a 4.7960
_cell_length_b 4.7960
_cell_length_c 25.7524
_cell_angle_alpha 90.00
_cell_angle_beta 90.00
_cell_angle_gamma 90.00
_space_group_name_H-M_alt 'I 4/m m m'
_space_group_IT_number 139
_space_group_name_Hall '-I 4 2'
loop_
_atom_site_label
_atom_site_type_symbol
_atom_site_fract_x
_atom_site_fract_y
_atom_site_fract_z
_atom_site_occupancy
Tb1 Tb 0.0000 0.0000 0.1932 1
Pm1 Pm 0.0000 0.5000 0.0841 1
Pb1 Pb 0.0000 0.0000 0.3189 1
Pb2 Pb 0.0000 0.0000 0.5000 1
O1 O 0.0000 0.0000 0.1045 1
```

Largest 12 diffraction maxima, by angle, 10 to 80 degrees two-theta:
hkl 1 0 1, 2θ = 18.8°, rel. 13
hkl 1 1 2, 2θ = 27.2°, rel. 35
hkl 0 0 8, 2θ = 27.7°, rel. 14
hkl 1 1 4, 2θ = 29.8°, rel. 17
hkl 1 1 6, 2θ = 33.7°, rel. 100
hkl 0 0 10, 2θ = 34.8°, rel. 14
hkl 2 0 0, 2θ = 37.5°, rel. 54
hkl 2 0 8, 2θ = 47.3°, rel. 13
hkl 2 0 10, 2θ = 52.1°, rel. 17
hkl 2 2 0, 2θ = 54.1°, rel. 19
hkl 1 1 16, 2θ = 64.0°, rel. 14
hkl 3 1 6, 2θ = 65.2°, rel. 31



[4]
# Pm2Tm4Pb3O2
Simulated X-ray powder pattern, Cu Kα. Input: a structure optimized by DFT (GGA-PBE).
Lines closer than 0.1° are merged.

Atomic structure:
```
data_Pm2Tm4Pb3O2
_cell_length_a 4.6230
_cell_length_b 4.6230
_cell_length_c 25.5509
_cell_angle_alpha 90.00
_cell_angle_beta 90.00
_cell_angle_gamma 90.00
_space_group_name_H-M_alt 'I 4/m m m'
_space_group_IT_number 139
_space_group_name_Hall '-I 4 2'
loop_
_atom_site_label
_atom_site_type_symbol
_atom_site_fract_x
_atom_site_fract_y
_atom_site_fract_z
_atom_site_occupancy
Pm1 Pm 0.0000 0.0000 0.1948 1
Tm1 Tm 0.0000 0.5000 0.0825 1
Pb1 Pb 0.0000 0.0000 0.3244 1
Pb2 Pb 0.0000 0.0000 0.5000 1
O1 O 0.0000 0.0000 0.0920 1
```

Largest 12 diffraction maxima, by angle, 10 to 80 degrees two-theta:
hkl 1 0 1, 2θ = 19.5°, rel. 14
hkl 0 0 8, 2θ = 27.9°, rel. 14
hkl 1 1 2, 2θ = 28.2°, rel. 32
hkl 1 1 4, 2θ = 30.7°, rel. 14
hkl 1 0 7, 2θ = 31.2°, rel. 15
hkl 1 1 6, 2θ = 34.6°, rel. 100
hkl 2 0 0, 2θ = 39.0°, rel. 50
hkl 2 0 8, 2θ = 48.6°, rel. 12
hkl 2 0 10, 2θ = 53.5°, rel. 11
hkl 2 2 0, 2θ = 56.3°, rel. 17
hkl 2 0 12, 2θ = 59.0°, rel. 13
hkl 3 1 6, 2θ = 67.8°, rel. 29



[5]
# PmUPbO6
Simulated X-ray powder pattern, Cu Kα. Input: a structure optimized by DFT (GGA-PBE).
Lines closer than 0.1° are merged.

Atomic structure:
```
data_PmUPbO6
_cell_length_a 5.2182
_cell_length_b 5.2182
_cell_length_c 10.7385
_cell_angle_alpha 90.00
_cell_angle_beta 90.00
_cell_angle_gamma 90.00
_space_group_name_H-M_alt 'P 42 n m'
_space_group_IT_number 102
_space_group_name_Hall 'P 4n -2n'
loop_
_atom_site_label
_atom_site_type_symbol
_atom_site_fract_x
_atom_site_fract_y
_atom_site_fract_z
_atom_site_occupancy
Pm1 Pm 0.0000 0.0000 0.0000 1
U1 U 0.0000 0.0000 0.6658 1
Pb1 Pb 0.0000 0.0000 0.3304 1
O1 O 0.1815 0.1815 0.8167 1
O2 O 0.1840 0.1840 0.5163 1
O3 O 0.2153 0.2153 0.1638 1
```

Largest 12 diffraction maxima, by angle, 10 to 80 degrees two-theta:
hkl 1 1 0, 2θ = 24.1°, rel. 100
hkl 1 0 3, 2θ = 30.3°, rel. 96
hkl 2 0 0, 2θ = 34.4°, rel. 30
hkl 2 1 3, 2θ = 46.5°, rel. 73
hkl 2 2 0, 2θ = 49.4°, rel. 17
hkl 3 1 0, 2θ = 55.7°, rel. 18
hkl 1 1 6, 2θ = 57.2°, rel. 19
hkl 3 0 3, 2θ = 59.0°, rel. 21
hkl 2 0 6, 2θ = 63.0°, rel. 12
hkl 3 2 3, 2θ = 70.1°, rel. 18
hkl 2 2 6, 2θ = 73.8°, rel. 10
hkl 3 1 6, 2θ = 78.9°, rel. 14



[6]
# Pm2ZnPbO5
Simulated X-ray powder pattern, Cu Kα. Input: a structure optimized by DFT (GGA-PBE).
Lines closer than 0.1° are merged.

Atomic structure:
```
data_Pm2ZnPbO5
_cell_length_a 6.7410
_cell_length_b 6.7410
_cell_length_c 11.4841
_cell_angle_alpha 90.00
_cell_angle_beta 90.00
_cell_angle_gamma 90.00
_space_group_name_H-M_alt 'I 4/m c m'
_space_group_IT_number 140
_space_group_name_Hall '-I 4 2c'
loop_
_atom_site_label
_atom_site_type_symbol
_atom_site_fract_x
_atom_site_fract_y
_atom_site_fract_z
_atom_site_occupancy
Pm1 Pm 0.1731 0.3269 0.0000 1
Zn1 Zn 0.0000 0.5000 0.2500 1
Pb1 Pb 0.0000 0.0000 0.2500 1
O1 O 0.0000 0.0000 0.0000 1
O2 O 0.1461 0.3539 0.3699 1
```

Largest 12 diffraction maxima, by angle, 10 to 80 degrees two-theta:
hkl 1 1 2, 2θ = 24.3°, rel. 23
hkl 2 0 2, 2θ = 30.7°, rel. 100
hkl 0 0 4, 2θ = 31.2°, rel. 27
hkl 2 2 0, 2θ = 37.7°, rel. 18
hkl 2 1 3, 2θ = 38.0°, rel. 30
hkl 3 1 0, 2θ = 42.4°, rel. 18
hkl 2 2 4, 2θ = 49.7°, rel. 16
hkl 2 1 5, 2θ = 49.9°, rel. 12
hkl 3 1 4, 2θ = 53.5°, rel. 11
hkl 2 0 6, 2θ = 55.2°, rel. 15
hkl 4 0 2, 2θ = 56.9°, rel. 17
hkl 3 3 2, 2θ = 60.5°, rel. 10



[7]
# Pr3PbO2
Simulated X-ray powder pattern, Cu Kα. Input: a structure optimized by DFT (GGA-PBE).
Lines closer than 0.1° are merged.

Atomic structure:
```
data_Pr3PbO2
_cell_length_a 4.7978
_cell_length_b 4.7978
_cell_length_c 12.1306
_cell_angle_alpha 90.00
_cell_angle_beta 90.00
_cell_angle_gamma 90.00
_space_group_name_H-M_alt 'I 4/m m m'
_space_group_IT_number 139
_space_group_name_Hall '-I 4 2'
loop_
_atom_site_label
_atom_site_type_symbol
_atom_site_fract_x
_atom_site_fract_y
_atom_site_fract_z
_atom_site_occupancy
Pr1 Pr 0.0000 0.0000 0.0000 1
Pr2 Pr 0.0000 0.5000 0.2500 1
Pb1 Pb 0.0000 0.0000 0.5000 1
O1 O 0.0000 0.0000 0.1999 1
```

Largest 12 diffraction maxima, by angle, 10 to 80 degrees two-theta:
hkl 0 0 4, 2θ = 29.5°, rel. 30
hkl 1 1 2, 2θ = 30.2°, rel. 100
hkl 2 0 0, 2θ = 37.5°, rel. 34
hkl 2 0 4, 2θ = 48.4°, rel. 31
hkl 1 1 6, 2θ = 52.7°, rel. 24
hkl 2 2 0, 2θ = 54.1°, rel. 12
hkl 0 0 8, 2θ = 61.1°, rel. 4
hkl 2 2 4, 2θ = 62.8°, rel. 14
hkl 3 1 2, 2θ = 63.2°, rel. 25
hkl 2 0 8, 2θ = 73.9°, rel. 8
hkl 3 1 6, 2θ = 78.9°, rel. 15
hkl 4 0 0, 2θ = 80.0°, rel. 4



[8]
# Pr3PbO7
Simulated X-ray powder pattern, Cu Kα. Input: a structure optimized by DFT (GGA-PBE).
Lines closer than 0.1° are merged.

Atomic structure:
```
data_Pr3PbO7
_cell_length_a 7.8387
_cell_length_b 11.2823
_cell_length_c 7.9628
_cell_angle_alpha 90.00
_cell_angle_beta 90.00
_cell_angle_gamma 90.00
_space_group_name_H-M_alt 'C m c m'
_space_group_IT_number 63
_space_group_name_Hall '-C 2c 2'
loop_
_atom_site_label
_atom_site_type_symbol
_atom_site_fract_x
_atom_site_fract_y
_atom_site_fract_z
_atom_site_occupancy
Pr1 Pr 0.0000 0.0000 0.0000 1
Pr2 Pr 0.2365 0.2687 0.2500 1
Pb1 Pb 0.0000 0.5000 0.0000 1
O1 O 0.0000 0.1304 0.7500 1
O2 O 0.0000 0.1318 0.2500 1
O3 O 0.0000 0.4128 0.2500 1
O4 O 0.2147 0.3758 0.5297 1
```

Largest 12 diffraction maxima, by angle, 10 to 80 degrees two-theta:
hkl 0 2 2, 2θ = 27.4°, rel. 100
hkl 2 2 0, 2θ = 27.7°, rel. 99
hkl 0 4 0, 2θ = 31.7°, rel. 21
hkl 2 0 2, 2θ = 32.0°, rel. 47
hkl 0 0 4, 2θ = 45.6°, rel. 17
hkl 2 4 2, 2θ = 45.7°, rel. 62
hkl 4 0 0, 2θ = 46.3°, rel. 15
hkl 0 6 2, 2θ = 53.9°, rel. 13
hkl 2 2 4, 2θ = 54.2°, rel. 43
hkl 4 2 2, 2θ = 54.7°, rel. 28
hkl 0 2 6, 2θ = 73.3°, rel. 16
hkl 4 6 2, 2θ = 73.8°, rel. 10



[9]
# Pr5Pb2O12
Simulated X-ray powder pattern, Cu Kα. Input: a structure optimized by DFT (GGA-PBE).
Lines closer than 0.1° are merged.

Atomic structure:
```
data_Pr5Pb2O12
_cell_length_a 13.1575
_cell_length_b 6.3565
_cell_length_c 7.7902
_cell_angle_alpha 90.00
_cell_angle_beta 107.37
_cell_angle_gamma 90.00
_space_group_name_H-M_alt 'C 1 2/m 1'
_space_group_IT_number 12
_space_group_name_Hall '-C 2y'
loop_
_atom_site_label
_atom_site_type_symbol
_atom_site_fract_x
_atom_site_fract_y
_atom_site_fract_z
_atom_site_occupancy
Pr1 Pr 0.0000 0.0000 0.0000 1
Pr2 Pr 0.1964 0.5000 0.3370 1
Pr3 Pr 0.1984 0.5000 0.8610 1
Pb1 Pb 0.0000 0.2446 0.5000 1
O1 O 0.0015 0.5000 0.3032 1
O2 O 0.0019 0.0000 0.3053 1
O3 O 0.1548 0.2486 0.0727 1
O4 O 0.1717 0.2715 0.5906 1
```

Largest 12 diffraction maxima, by angle, 10 to 80 degrees two-theta:
hkl 0 0 1, 2θ = 11.9°, rel. 38
hkl 0 0 2, 2θ = 23.9°, rel. 39
hkl 3 1 0, 2θ = 25.5°, rel. 93
hkl 1 1 -2, 2θ = 26.8°, rel. 100
hkl 4 0 0, 2θ = 28.4°, rel. 40
hkl 0 2 1, 2θ = 30.6°, rel. 44
hkl 2 0 2, 2θ = 31.4°, rel. 92
hkl 2 2 0, 2θ = 31.6°, rel. 45
hkl 2 2 -1, 2θ = 32.2°, rel. 32
hkl 2 2 -2, 2θ = 37.2°, rel. 54
hkl 2 0 -4, 2θ = 46.6°, rel. 34
hkl 6 2 -2, 2θ = 52.0°, rel. 54



[10]
# Pr2RePbO8
Simulated X-ray powder pattern, Cu Kα. Input: a structure optimized by DFT (GGA-PBE).
Lines closer than 0.1° are merged.

Atomic structure:
```
data_Pr2RePbO8
_cell_length_a 7.1854
_cell_length_b 7.3980
_cell_length_c 7.2083
_cell_angle_alpha 90.00
_cell_angle_beta 90.07
_cell_angle_gamma 90.00
_space_group_name_H-M_alt 'C 1 2/m 1'
_space_group_IT_number 12
_space_group_name_Hall '-C 2y'
loop_
_atom_site_label
_atom_site_type_symbol
_atom_site_fract_x
_atom_site_fract_y
_atom_site_fract_z
_atom_site_occupancy
Pr1 Pr 0.0017 0.0000 0.2568 1
Re1 Re 0.0000 0.5000 0.5000 1
Pb1 Pb 0.0000 0.5000 0.0000 1
O1 O 0.0012 0.3232 0.6941 1
O2 O 0.1950 0.0000 0.9991 1
O3 O 0.2353 0.0000 0.5015 1
```

Largest 12 diffraction maxima, by angle, 10 to 80 degrees two-theta:
hkl 0 2 0, 2θ = 24.1°, rel. 54
hkl 2 0 0, 2θ = 24.8°, rel. 49
hkl 1 1 2, 2θ = 30.3°, rel. 100
hkl 2 2 0, 2θ = 34.8°, rel. 32
hkl 1 3 2, 2θ = 46.4°, rel. 39
hkl 3 1 -2, 2θ = 47.2°, rel. 35
hkl 2 4 0, 2θ = 55.9°, rel. 9
hkl 0 2 4, 2θ = 56.8°, rel. 11
hkl 4 2 0, 2θ = 57.0°, rel. 10
hkl 3 3 2, 2θ = 59.6°, rel. 20
hkl 2 2 -4, 2θ = 62.9°, rel. 12
hkl 1 5 2, 2θ = 70.0°, rel. 9



[11]
# Pr4SnPbO
Simulated X-ray powder pattern, Cu Kα. Input: a structure optimized by DFT (GGA-PBE).
Lines closer than 0.1° are merged.

Atomic structure:
```
data_Pr4SnPbO
_cell_length_a 6.7306
_cell_length_b 17.9932
_cell_length_c 6.7437
_cell_angle_alpha 90.00
_cell_angle_beta 90.00
_cell_angle_gamma 90.00
_space_group_name_H-M_alt 'C m c m'
_space_group_IT_number 63
_space_group_name_Hall '-C 2c 2'
loop_
_atom_site_label
_atom_site_type_symbol
_atom_site_fract_x
_atom_site_fract_y
_atom_site_fract_z
_atom_site_occupancy
Pr1 Pr 0.0000 0.0670 0.2500 1
Pr2 Pr 0.0000 0.4199 0.2500 1
Pr3 Pr 0.2500 0.2500 0.0000 1
Sn1 Sn 0.0000 0.1132 0.7500 1
Pb1 Pb 0.0000 0.3910 0.7500 1
O1 O 0.0000 0.2834 0.2500 1
```

Largest 12 diffraction maxima, by angle, 10 to 80 degrees two-theta:
hkl 2 0 0, 2θ = 26.5°, rel. 24
hkl 2 2 0, 2θ = 28.3°, rel. 87
hkl 0 6 0, 2θ = 29.8°, rel. 39
hkl 1 5 1, 2θ = 31.1°, rel. 28
hkl 2 4 0, 2θ = 33.2°, rel. 100
hkl 2 0 2, 2θ = 37.8°, rel. 68
hkl 2 6 2, 2θ = 48.8°, rel. 40
hkl 3 5 1, 2θ = 49.7°, rel. 15
hkl 1 11 1, 2θ = 59.8°, rel. 13
hkl 4 2 2, 2θ = 62.5°, rel. 19
hkl 4 4 2, 2θ = 65.3°, rel. 29
hkl 3 11 1, 2θ = 72.9°, rel. 15



[12]
# Pr4Y2Pb3O2
Simulated X-ray powder pattern, Cu Kα. Input: a structure optimized by DFT (GGA-PBE).
Lines closer than 0.1° are merged.

Atomic structure:
```
data_Pr4Y2Pb3O2
_cell_length_a 4.8656
_cell_length_b 4.8656
_cell_length_c 25.9007
_cell_angle_alpha 90.00
_cell_angle_beta 90.00
_cell_angle_gamma 90.00
_space_group_name_H-M_alt 'I 4/m m m'
_space_group_IT_number 139
_space_group_name_Hall '-I 4 2'
loop_
_atom_site_label
_atom_site_type_symbol
_atom_site_fract_x
_atom_site_fract_y
_atom_site_fract_z
_atom_site_occupancy
Pr1 Pr 0.0000 0.5000 0.0847 1
Y1 Y 0.0000 0.0000 0.1942 1
Pb1 Pb 0.0000 0.0000 0.3181 1
Pb2 Pb 0.0000 0.0000 0.5000 1
O1 O 0.0000 0.0000 0.1072 1
```

Largest 12 diffraction maxima, by angle, 10 to 80 degrees two-theta:
hkl 1 0 1, 2θ = 18.6°, rel. 23
hkl 1 0 5, 2θ = 25.1°, rel. 23
hkl 1 1 2, 2θ = 26.8°, rel. 28
hkl 1 1 4, 2θ = 29.4°, rel. 20
hkl 1 1 6, 2θ = 33.3°, rel. 100
hkl 0 0 10, 2θ = 34.6°, rel. 13
hkl 2 0 0, 2θ = 36.9°, rel. 52
hkl 2 0 10, 2θ = 51.5°, rel. 17
hkl 2 2 0, 2θ = 53.2°, rel. 18
hkl 2 0 12, 2θ = 57.0°, rel. 11
hkl 1 1 16, 2θ = 63.5°, rel. 12
hkl 3 1 6, 2θ = 64.3°, rel. 31



Please write out number 3 again, unchanged.
# Tb2Pm4Pb3O2
Simulated X-ray powder pattern, Cu Kα. Input: a structure optimized by DFT (GGA-PBE).
Lines closer than 0.1° are merged.

Atomic structure:
```
data_Tb2Pm4Pb3O2
_cell_length_a 4.7960
_cell_length_b 4.7960
_cell_length_c 25.7524
_cell_angle_alpha 90.00
_cell_angle_beta 90.00
_cell_angle_gamma 90.00
_space_group_name_H-M_alt 'I 4/m m m'
_space_group_IT_number 139
_space_group_name_Hall '-I 4 2'
loop_
_atom_site_label
_atom_site_type_symbol
_atom_site_fract_x
_atom_site_fract_y
_atom_site_fract_z
_atom_site_occupancy
Tb1 Tb 0.0000 0.0000 0.1932 1
Pm1 Pm 0.0000 0.5000 0.0841 1
Pb1 Pb 0.0000 0.0000 0.3189 1
Pb2 Pb 0.0000 0.0000 0.5000 1
O1 O 0.0000 0.0000 0.1045 1
```

Largest 12 diffraction maxima, by angle, 10 to 80 degrees two-theta:
hkl 1 0 1, 2θ = 18.8°, rel. 13
hkl 1 1 2, 2θ = 27.2°, rel. 35
hkl 0 0 8, 2θ = 27.7°, rel. 14
hkl 1 1 4, 2θ = 29.8°, rel. 17
hkl 1 1 6, 2θ = 33.7°, rel. 100
hkl 0 0 10, 2θ = 34.8°, rel. 14
hkl 2 0 0, 2θ = 37.5°, rel. 54
hkl 2 0 8, 2θ = 47.3°, rel. 13
hkl 2 0 10, 2θ = 52.1°, rel. 17
hkl 2 2 0, 2θ = 54.1°, rel. 19
hkl 1 1 16, 2θ = 64.0°, rel. 14
hkl 3 1 6, 2θ = 65.2°, rel. 31